No. 1
Pr4YHo2: simulated powder XRD pattern (Cu Ka), based on a crystal structure in Alexandria, relaxed with GGA-PBE.
No peak broadening, texture or thermal motion is included.

The 10 most intense peaks (2θ = 10–80°), sorted by position:
2θ = 26.56°, d 3.356, I = 29; 2θ = 27.88°, d 3.200, I = 33; 2θ = 28.35°, d 3.149, I = 45; 2θ = 30.43°, d 2.937, I = 36; 2θ = 30.79°, d 2.904, I = 85; 2θ = 30.97°, d 2.887, I = 70; 2θ = 31.36°, d 2.853, I = 74; 2θ = 32.23°, d 2.777, I = 61; 2θ = 32.35°, d 2.767, I = 40; 2θ = 32.57°, d 2.749, I = 100

Atomic structure:
a = 6.2987 Å, b = 6.7129 Å, c = 11.6915 Å
α = 90.00°, β = 104.37°, γ = 90.00°
Space group P2_1/m (No. 11)
Unique sites:
Pr 0.0447 0.2500 0.3641
Pr 0.1510 0.2500 0.9520
Pr 0.3545 0.5117 0.2155
Y 0.1478 0.2500 0.6626
Ho 0.2889 0.7500 0.9219
Ho 0.3905 0.7500 0.5069

No. 2
Pr4YHo6: simulated powder XRD pattern (Cu Ka), based on a crystal structure in Alexandria, relaxed with GGA-PBE.
No peak broadening, texture or thermal motion is included.

The 10 most intense peaks (2θ = 10–80°), sorted by position:
2θ = 21.47°, d 4.139, I = 25; 2θ = 28.16°, d 3.168, I = 54; 2θ = 28.65°, d 3.116, I = 57; 2θ = 29.38°, d 3.040, I = 26; 2θ = 30.31°, d 2.949, I = 100; 2θ = 34.05°, d 2.633, I = 72; 2θ = 36.88°, d 2.437, I = 35; 2θ = 38.02°, d 2.367, I = 29; 2θ = 40.07°, d 2.250, I = 35; 2θ = 56.98°, d 1.616, I = 30

Atomic structure:
a = 6.6939 Å, b = 6.6939 Å, c = 17.0592 Å
α = 90.00°, β = 90.00°, γ = 90.00°
Space group I-42m (No. 121)
Unique sites:
Pr 0.1902 0.1902 0.3236
Y 0.0000 0.0000 0.5000
Ho 0.0000 0.5000 0.0000
Ho 0.1774 0.1774 0.1231

No. 3
Pr3Ho2Zn3: simulated powder XRD pattern (Cu Ka), based on a crystal structure in Alexandria, relaxed with GGA-PBE.
No peak broadening, texture or thermal motion is included.

The 10 most intense peaks (2θ = 10–80°), sorted by position:
2θ = 26.33°, d 3.384, I = 16; 2θ = 32.82°, d 2.729, I = 21; 2θ = 33.46°, d 2.678, I = 28; 2θ = 33.77°, d 2.654, I = 100; 2θ = 47.57°, d 1.911, I = 14; 2θ = 49.43°, d 1.844, I = 9; 2θ = 59.20°, d 1.561, I = 9; 2θ = 60.02°, d 1.541, I = 19; 2θ = 61.02°, d 1.519, I = 10; 2θ = 71.03°, d 1.327, I = 9

Atomic structure:
a = 3.6874 Å, b = 5.3559 Å, c = 21.8328 Å
α = 90.00°, β = 90.00°, γ = 90.00°
Space group Immm (No. 71)
Unique sites:
Pr 0.0000 0.0000 0.0000
Pr 0.0000 0.5000 0.1199
Ho 0.0000 0.0000 0.2303
Zn 0.0000 0.0000 0.5000
Zn 0.0000 0.5000 0.3795

No. 4
PrHo4Zn: simulated powder XRD pattern (Cu Ka), based on a crystal structure in Alexandria, relaxed with GGA-PBE.
No peak broadening, texture or thermal motion is included.

The 10 most intense peaks (2θ = 10–80°), sorted by position:
2θ = 28.19°, d 3.166, I = 20; 2θ = 31.82°, d 2.812, I = 100; 2θ = 32.68°, d 2.740, I = 14; 2θ = 35.56°, d 2.524, I = 49; 2θ = 49.07°, d 1.856, I = 18; 2θ = 51.18°, d 1.785, I = 17; 2θ = 54.16°, d 1.693, I = 9; 2θ = 59.91°, d 1.544, I = 15; 2θ = 61.53°, d 1.507, I = 30; 2θ = 62.06°, d 1.496, I = 9

Atomic structure:
a = 3.5699 Å, b = 3.5699 Å, c = 13.6996 Å
α = 90.00°, β = 90.00°, γ = 90.00°
Space group P4/mmm (No. 123)
Unique sites:
Pr 0.0000 0.0000 0.0000
Ho 0.0000 0.0000 0.3724
Ho 0.5000 0.5000 0.1882
Zn 0.5000 0.5000 0.5000

No. 5
Pr4Ho5Zn: simulated powder XRD pattern (Cu Ka), based on a crystal structure in Alexandria, relaxed with GGA-PBE.
No peak broadening, texture or thermal motion is included.

The 10 most intense peaks (2θ = 10–80°), sorted by position:
2θ = 28.86°, d 3.094, I = 20; 2θ = 30.98°, d 2.887, I = 100; 2θ = 33.51°, d 2.674, I = 14; 2θ = 35.18°, d 2.551, I = 48; 2θ = 49.37°, d 1.846, I = 19; 2θ = 50.61°, d 1.804, I = 17; 2θ = 52.25°, d 1.751, I = 8; 2θ = 59.57°, d 1.552, I = 17; 2θ = 60.53°, d 1.530, I = 30; 2θ = 62.07°, d 1.495, I = 10

Atomic structure:
a = 3.6073 Å, b = 3.6073 Å, c = 24.0701 Å
α = 90.00°, β = 90.00°, γ = 90.00°
Space group P4/mmm (No. 123)
Unique sites:
Pr 0.0000 0.0000 0.1061
Pr 0.0000 0.0000 0.3194
Ho 0.5000 0.5000 0.0000
Ho 0.5000 0.5000 0.2133
Ho 0.5000 0.5000 0.4281
Zn 0.0000 0.0000 0.5000

No. 6
PrHo5Zn6: simulated powder XRD pattern (Cu Ka), based on a crystal structure in Alexandria, relaxed with GGA-PBE.
No peak broadening, texture or thermal motion is included.

The 10 most intense peaks (2θ = 10–80°), sorted by position:
2θ = 24.80°, d 3.591, I = 7; 2θ = 24.92°, d 3.573, I = 14; 2θ = 35.45°, d 2.532, I = 100; 2θ = 35.60°, d 2.522, I = 20; 2θ = 50.86°, d 1.795, I = 7; 2θ = 51.13°, d 1.787, I = 14; 2θ = 63.58°, d 1.463, I = 14; 2θ = 63.67°, d 1.462, I = 14; 2θ = 63.83°, d 1.458, I = 14; 2θ = 75.01°, d 1.266, I = 11

Atomic structure:
a = 5.0443 Å, b = 15.1862 Å, c = 7.1810 Å
α = 90.00°, β = 90.00°, γ = 90.00°
Space group Cmmm (No. 65)
Unique sites:
Pr 0.0000 0.0000 0.0000
Ho 0.0000 0.0000 0.5000
Ho 0.0000 0.3314 0.0000
Ho 0.0000 0.3354 0.5000
Zn 0.0000 0.1708 0.2575
Zn 0.0000 0.5000 0.2587

No. 7
Ho5Pt3: simulated powder XRD pattern (Cu Ka), based on a crystal structure in Alexandria, relaxed with GGA-PBE.
No peak broadening, texture or thermal motion is included.

The 10 most intense peaks (2θ = 10–80°), sorted by position:
2θ = 22.76°, d 3.907, I = 35; 2θ = 29.21°, d 3.057, I = 72; 2θ = 32.52°, d 2.753, I = 66; 2θ = 33.22°, d 2.697, I = 81; 2θ = 36.51°, d 2.461, I = 98; 2θ = 36.61°, d 2.454, I = 100; 2θ = 37.15°, d 2.420, I = 42; 2θ = 38.07°, d 2.364, I = 49; 2θ = 46.06°, d 1.971, I = 42; 2θ = 46.75°, d 1.943, I = 35

Atomic structure:
a = 10.9764 Å, b = 10.9764 Å, c = 6.4548 Å
α = 90.00°, β = 90.00°, γ = 90.00°
Space group P4/ncc (No. 130, origin choice 2)
Unique sites:
Ho 0.0430 0.1607 0.1221
Ho 0.2500 0.7500 0.0000
Pt 0.0962 0.5962 0.7500
Pt 0.2500 0.2500 0.3821

No. 8
Ho6Pt23: simulated powder XRD pattern (Cu Ka), based on a crystal structure in Alexandria, relaxed with GGA-PBE.
No peak broadening, texture or thermal motion is included.

The 10 most intense peaks (2θ = 10–80°), sorted by position:
2θ = 11.91°, d 7.432, I = 11; 2θ = 13.76°, d 6.436, I = 10; 2θ = 34.12°, d 2.628, I = 10; 2θ = 36.26°, d 2.477, I = 33; 2θ = 39.61°, d 2.276, I = 100; 2θ = 41.50°, d 2.176, I = 20; 2θ = 44.52°, d 2.035, I = 10; 2θ = 66.13°, d 1.413, I = 10; 2θ = 71.86°, d 1.314, I = 21; 2θ = 73.15°, d 1.294, I = 13

Atomic structure:
a = 12.8724 Å, b = 12.8724 Å, c = 12.8724 Å
α = 90.00°, β = 90.00°, γ = 90.00°
Space group Fm-3m (No. 225)
Unique sites:
Ho 0.0000 0.0000 0.2203
Pt 0.0000 0.0000 0.5000
Pt 0.0000 0.2500 0.2500
Pt 0.1208 0.1208 0.3792
Pt 0.1656 0.1656 0.1656